(1)
Simulated XRD peak list of Li2Fe2CuO6 for Cu Kα, from the GGA+U geometry in the Materials Project.
Intensities are scaled so that the largest is 100.

Cell and atoms:
Cell lengths 6.5996, 6.6870, 8.4776 Å; angles 71.49, 70.89, 83.64 degrees
Element x y z (fractional)
Li  0.0000  0.0000  0.0000
Li  0.0027  0.3246  0.6722
Li  0.3208  0.3338  0.3397
Li  0.3266  0.6587  0.0047
Li  0.6781  0.6615  0.6676
Li  0.6832  0.9911  0.3347
Fe  0.3347  0.6647  0.5036
Fe  0.3379  0.3232  0.8345
Fe  0.3392  0.9932  0.1712
Fe  0.6661  0.9961  0.8378
Fe  0.6688  0.3311  0.5019
Fe  0.6696  0.6559  0.1691
Cu  0.0006  0.3283  0.1690
Cu  0.0019  0.6589  0.8359
Cu  0.0052  0.9950  0.5043
O  0.0101  0.6774  0.6054
O  0.0118  0.0250  0.2526
O  0.0254  0.3307  0.9167
O  0.3040  0.3211  0.0923
O  0.3114  0.9862  0.4158
O  0.3184  0.6415  0.7572
O  0.3440  0.3470  0.5843
O  0.3447  0.0040  0.9316
O  0.3509  0.6692  0.2538
O  0.6540  0.6544  0.4185
O  0.6582  0.3163  0.7434
O  0.6644  0.9733  0.0874
O  0.6854  0.6778  0.9153
O  0.6933  0.3352  0.2586
O  0.7025  0.0016  0.5806
O  0.9805  0.9872  0.7529
O  0.9933  0.3040  0.4242
O  0.9948  0.6385  0.0671

Most intense lines, 2θ from 10° to 90°, by angle:
d/Å	I (rel.)	h k l
4.882	100	1 1 1
2.545	28	0 0 3
2.505	13	-2 1 1
2.429	8	1 1 -2
2.119	22	1 1 4
2.114	22	0 3 0
2.079	21	3 0 0
1.930	8	3 0 3
1.497	12	1 -2 4
1.479	6	-2 1 4



(2)
Simulated XRD peak list of Li2FeCuO4 for Cu Kα, from the GGA+U geometry in the Materials Project.
Intensities are scaled so that the largest is 100.

Cell and atoms:
Cell lengths 5.1099, 2.9669, 5.1533 Å; angles 90.00, 109.43, 90.00 degrees
Element x y z (fractional)
Li  0.0000  0.0000  0.0000
Li  0.5000  0.5000  0.0000
Fe  0.0000  0.5000  0.5000
Cu  0.5000  0.0000  0.5000
O  0.2433  0.0000  0.7331
O  0.2538  0.5000  0.2685
O  0.7462  0.5000  0.7315
O  0.7567  0.0000  0.2669

Most intense lines, 2θ from 10° to 90°, by angle:
d/Å	I (rel.)	h k l
4.860	100	0 0 1
2.526	31	1 1 0
2.518	15	2 0 -1
2.421	11	1 1 -1
2.096	80	1 1 1
1.927	11	1 1 -2
1.616	14	2 0 -3
1.487	15	1 1 -3
1.483	15	0 2 0
1.477	15	3 1 -1



(3)
Simulated XRD peak list of Li5Fe2Cu3O10 for Cu Kα, from the GGA+U geometry in the Materials Project.
Intensities are scaled so that the largest is 100.

Cell and atoms:
Cell lengths 5.0700, 5.5312, 7.6516 Å; angles 102.49, 103.96, 105.71 degrees
Element x y z (fractional)
Li  0.0000  0.0000  0.0000
Li  0.1038  0.2046  0.7121
Li  0.2953  0.6055  0.1060
Li  0.7047  0.3945  0.8940
Li  0.8962  0.7954  0.2879
Fe  0.4042  0.8158  0.8096
Fe  0.5958  0.1842  0.1904
Cu  0.2010  0.3906  0.4009
Cu  0.5000  0.0000  0.5000
Cu  0.7990  0.6094  0.5991
O  0.0451  0.6133  0.8299
O  0.1504  0.8311  0.5732
O  0.2845  0.9707  0.2545
O  0.3653  0.1846  0.9594
O  0.4465  0.4570  0.6512
O  0.5535  0.5430  0.3488
O  0.6347  0.8154  0.0406
O  0.7155  0.0293  0.7455
O  0.8496  0.1689  0.4268
O  0.9549  0.3867  0.1701

Most intense lines, 2θ from 10° to 90°, by angle:
d/Å	I (rel.)	h k l
7.080	99	0 0 1
4.881	97	0 1 -1
4.626	38	1 0 0
4.207	28	1 -1 0
2.441	67	0 2 -2
2.371	100	-1 2 1
2.024	61	1 -1 3
1.992	67	2 1 -2
1.544	27	2 -3 2
1.221	29	2 0 -6